Starting from a structure optimized by DFT (GGA-PBE), the powder diffraction line list of Li6Mg12Pd was computed for Cu Kα (λ = 1.5418 Å).
Neutral-atom scattering factors, no anomalous dispersion.

Crystal structure
```
19
Lattice="6.4871 3.7454 2.6509 -6.4871 3.7454 2.6509 0.0000 -7.4907 2.6509" Properties=species:S:1:pos:R:3 pbc="T T T"
Li -2.3050 -2.3965 3.4234
Li -3.2280 0.7979 4.5292
Li 0.9229 -3.1945 4.5292
Li -0.9229 3.1945 3.4234
Li 3.2280 -0.7979 3.4234
Li 2.3050 2.3965 4.5292
Mg -1.2008 -4.8203 3.1360
Mg -1.7409 0.3188 2.3553
Mg -4.7749 -1.3702 4.8166
Mg 0.5943 -1.6670 2.3553
Mg -3.5741 3.4501 3.1360
Mg 1.1465 1.3482 2.3553
Mg -1.1465 -1.3482 5.5974
Mg 3.5741 -3.4501 4.8166
Mg -0.5943 1.6670 5.5974
Mg 4.7749 1.3702 3.1360
Mg 1.7408 -0.3188 5.5974
Mg 1.2008 4.8203 4.8166
Pd 0.0000 0.0000 0.0000
```

The 12 most intense peaks (10° ≤ 2θ ≤ 80°), by angle:
d = 6.489 Å, I 100; d = 3.746 Å, I 17; d = 2.902 Å, I 27; d = 2.649 Å, I 38; d = 2.453 Å, I 69; d = 2.294 Å, I 19; d = 2.163 Å, I 18; d = 1.957 Å, I 13; d = 1.800 Å, I 17; d = 1.489 Å, I 19; d = 1.416 Å, I 10; d = 1.298 Å, I 13



Starting from a structure optimized by DFT (GGA-PBE), the powder diffraction line list of Li3Mg6Pd was computed for Cu Kα (λ = 1.5418 Å).
Neutral-atom scattering factors, no anomalous dispersion.

Crystal structure
```
20
Lattice="11.0322 0.0000 0.0000 0.0000 3.0693 0.0000 -4.1741 0.0000 12.0790" Properties=species:S:1:pos:R:3 pbc="T T T"
Li -1.5392 0.7673 4.6999
Li -0.0218 0.7673 12.0699
Li 2.7065 0.7673 7.1476
Li 4.1517 2.3020 4.9313
Li 6.8800 2.3020 0.0091
Li 8.3974 2.3020 7.3790
Mg 1.2867 2.3020 0.3561
Mg -1.9689 0.7673 9.8169
Mg -0.1174 0.7673 7.1371
Mg 0.9859 2.3020 4.5568
Mg 2.8160 0.7673 2.6030
Mg 0.9533 2.3020 9.5909
Mg 5.9049 0.7673 2.4881
Mg 4.0422 2.3020 9.4760
Mg 5.8723 0.7673 7.5221
Mg 6.9755 2.3020 4.9419
Mg 8.8271 2.3020 2.2621
Mg 5.5715 0.7673 11.7229
Pd 0.0669 0.7673 2.3585
Pd 6.7913 2.3020 9.7204
```

The 12 most intense peaks (10° ≤ 2θ ≤ 80°), by angle:
d = 6.039 Å, I 100; d = 5.482 Å, I 98; d = 4.026 Å, I 36; d = 2.975 Å, I 28; d = 2.744 Å, I 43; d = 2.736 Å, I 35; d = 2.441 Å, I 38; d = 2.416 Å, I 59; d = 2.399 Å, I 92; d = 2.392 Å, I 47; d = 2.059 Å, I 31; d = 2.044 Å, I 35



Starting from a structure optimized by DFT (GGA-PBE), the powder diffraction line list of Li8MgPd6 was computed for Cu Kα (λ = 1.5418 Å).
Neutral-atom scattering factors, no anomalous dispersion.

Crystal structure
```
15
Lattice="3.7954 2.1913 5.1283 -3.7954 2.1913 5.1283 0.0000 -4.3826 5.1283" Properties=species:S:1:pos:R:3 pbc="T T T"
Li -2.5434 -0.0040 5.8281
Li 0.0000 0.0000 2.5263
Li -1.2683 -2.2046 9.5568
Li 1.2751 -2.2007 5.8280
Li -1.2751 2.2007 9.5568
Li 1.2683 2.2046 5.8281
Li 0.0000 0.0000 12.8586
Li 2.5434 0.0040 9.5568
Mg 0.0000 0.0000 7.6924
Pd -1.2858 -2.2055 7.0381
Pd -2.5529 0.0108 8.3468
Pd -1.2671 2.2163 7.0381
Pd 1.2671 -2.2163 8.3468
Pd 2.5529 -0.0108 7.0381
Pd 1.2858 2.2055 8.3468
```

The 12 most intense peaks (10° ≤ 2θ ≤ 80°), by angle:
d = 5.128 Å, I 74; d = 3.795 Å, I 45; d = 3.051 Å, I 100; d = 2.191 Å, I 56; d = 2.125 Å, I 69; d = 2.015 Å, I 37; d = 1.780 Å, I 20; d = 1.559 Å, I 15; d = 1.525 Å, I 24; d = 1.382 Å, I 17; d = 1.265 Å, I 9; d = 1.252 Å, I 24



Starting from a structure optimized by DFT (GGA-PBE), the powder diffraction line list of Li3Mg2Pd2 was computed for Cu Kα (λ = 1.5418 Å).
Neutral-atom scattering factors, no anomalous dispersion.

Crystal structure
```
7
Lattice="2.8690 0.0000 0.0000 0.0000 4.7529 0.0000 0.0000 0.0000 8.6272" Properties=species:S:1:pos:R:3 pbc="T T T"
Li 0.0000 0.0000 0.0000
Li 0.0000 1.1306 4.3136
Li 0.0000 3.6223 4.3136
Mg 0.0000 2.3765 1.7230
Mg 0.0000 2.3765 6.9042
Pd 1.4345 0.0000 2.2775
Pd 1.4345 0.0000 6.3497
```

The 12 most intense peaks (10° ≤ 2θ ≤ 80°), by angle:
d = 4.753 Å, I 64; d = 4.314 Å, I 100; d = 3.194 Å, I 45; d = 2.457 Å, I 62; d = 2.389 Å, I 25; d = 2.376 Å, I 25; d = 2.157 Å, I 15; d = 2.134 Å, I 71; d = 2.081 Å, I 32; d = 1.964 Å, I 15; d = 1.621 Å, I 24; d = 1.320 Å, I 14



Starting from a structure optimized by DFT (GGA-PBE), the powder diffraction line list of Li8MgPd5 was computed for Cu Kα (λ = 1.5418 Å).
Neutral-atom scattering factors, no anomalous dispersion.

Crystal structure
```
14
Lattice="-3.6119 3.6119 4.0128 3.6119 -3.6119 4.0128 3.6119 3.6119 -4.0128" Properties=species:S:1:pos:R:3 pbc="T T T"
Li 2.9380 1.0532 0.1438
Li 0.5363 1.2393 1.1689
Li 2.5587 -0.6739 3.8691
Li 1.0532 4.2858 -0.1438
Li -2.3726 3.0756 2.8439
Li 0.6739 2.5587 4.1566
Li 2.3726 4.1482 2.8439
Li -0.5363 5.9845 1.1689
Mg 0.0000 0.0000 4.0128
Pd 2.0297 -1.0517 1.4245
Pd 4.6636 -1.5822 2.5883
Pd 5.1941 1.0517 1.4245
Pd 2.5602 1.5822 2.5883
Pd 0.0000 3.6119 2.0064
```

The 12 most intense peaks (10° ≤ 2θ ≤ 80°), by angle:
d = 5.108 Å, I 22; d = 4.013 Å, I 37; d = 3.156 Å, I 64; d = 2.997 Å, I 100; d = 2.306 Å, I 51; d = 2.284 Å, I 17; d = 2.060 Å, I 46; d = 1.985 Å, I 11; d = 1.944 Å, I 18; d = 1.868 Å, I 18; d = 1.567 Å, I 11; d = 1.498 Å, I 12



Starting from a structure optimized by DFT (GGA-PBE), the powder diffraction line list of Li6MgPd was computed for Cu Kα (λ = 1.5418 Å).
Neutral-atom scattering factors, no anomalous dispersion.

Crystal structure
```
8
Lattice="5.2228 -2.8047 0.0000 5.2228 2.8047 0.0000 -1.9558 0.0000 4.7032" Properties=species:S:1:pos:R:3 pbc="T T T"
Li 0.0000 0.0000 0.0000
Li 5.7754 -1.4985 4.5106
Li 1.6388 -0.0916 2.3511
Li 5.2228 -0.1661 0.0000
Li 2.7144 -1.4985 0.1926
Li 6.8509 -0.0916 2.3521
Mg 4.2449 1.3211 2.3516
Pd 4.2449 -1.4842 2.3516
```

The 12 most intense peaks (10° ≤ 2θ ≤ 80°), by angle:
d = 4.849 Å, I 93; d = 4.822 Å, I 100; d = 4.703 Å, I 94; d = 4.289 Å, I 75; d = 3.758 Å, I 49; d = 3.091 Å, I 26; d = 2.862 Å, I 26; d = 2.805 Å, I 25; d = 2.424 Å, I 33; d = 2.410 Å, I 61; d = 2.349 Å, I 80; d = 2.003 Å, I 33



Starting from a structure optimized by DFT (GGA-PBE), the powder diffraction line list of Li2Mg3Pd4 was computed for Cu Kα (λ = 1.5418 Å).
Neutral-atom scattering factors, no anomalous dispersion.

Crystal structure
```
9
Lattice="4.4110 0.0000 0.0000 -2.2055 3.8200 0.0000 0.0000 0.0000 8.3443" Properties=species:S:1:pos:R:3 pbc="T T T"
Li 0.0000 2.5467 2.4036
Li 2.2055 1.2733 5.9408
Mg 0.0000 0.0000 4.1722
Mg 0.0000 2.5467 7.6929
Mg 2.2055 1.2733 0.6515
Pd 0.0000 0.0000 1.4274
Pd 0.0000 0.0000 6.9170
Pd 0.0000 2.5467 5.0566
Pd 2.2055 1.2733 3.2877
```

The 12 most intense peaks (10° ≤ 2θ ≤ 80°), by angle:
d = 3.820 Å, I 17; d = 3.473 Å, I 90; d = 2.817 Å, I 51; d = 2.249 Å, I 100; d = 2.205 Å, I 95; d = 1.862 Å, I 15; d = 1.575 Å, I 32; d = 1.516 Å, I 15; d = 1.423 Å, I 12; d = 1.307 Å, I 17; d = 1.281 Å, I 31; d = 1.273 Å, I 15



Starting from a structure optimized by DFT (GGA-PBE), the powder diffraction line list of LiMg5Pd was computed for Cu Kα (λ = 1.5418 Å).
Neutral-atom scattering factors, no anomalous dispersion.

Crystal structure
```
14
Lattice="3.8592 -4.0129 0.0000 3.8592 4.0129 0.0000 -3.4040 0.0000 9.3012" Properties=species:S:1:pos:R:3 pbc="T T T"
Li 0.0000 0.0000 0.0000
Li -1.7020 0.0000 4.6506
Mg -1.2680 1.5230 7.7294
Mg 1.3061 2.7134 6.9759
Mg 1.3623 1.1239 4.3813
Mg 0.4341 -1.5230 3.0788
Mg 4.6540 1.1239 0.2693
Mg -0.3398 -1.1239 9.0319
Mg 3.8802 1.5230 6.2223
Mg 2.9520 -1.1239 4.9199
Mg 3.0081 -2.7134 2.3253
Mg 5.5822 -1.5230 1.5717
Pd 3.0081 0.0764 2.3253
Pd 1.3061 -0.0764 6.9759
```

The 12 most intense peaks (10° ≤ 2θ ≤ 80°), by angle:
d = 5.379 Å, I 100; d = 4.651 Å, I 35; d = 3.624 Å, I 17; d = 3.501 Å, I 17; d = 3.144 Å, I 21; d = 3.039 Å, I 16; d = 2.690 Å, I 26; d = 2.424 Å, I 16; d = 2.412 Å, I 17; d = 2.362 Å, I 38; d = 2.327 Å, I 61; d = 2.107 Å, I 23



Starting from a structure optimized by DFT (GGA-PBE), the powder diffraction line list of LiMg5Pd8 was computed for Cu Kα (λ = 1.5418 Å).
Neutral-atom scattering factors, no anomalous dispersion.

Crystal structure
```
14
Lattice="-3.8031 3.8031 3.9760 3.8031 -3.8031 3.9760 3.8031 3.8031 -3.9760" Properties=species:S:1:pos:R:3 pbc="T T T"
Li 0.0000 0.0000 0.0000
Mg 4.7369 1.7181 -1.2491
Mg 3.8031 0.0000 1.9880
Mg 1.7181 2.8693 1.2491
Mg -0.9338 2.0850 2.7269
Mg 2.0850 0.9338 5.2251
Pd 2.4201 0.6370 -0.0925
Pd 2.5059 3.2252 -1.2856
Pd 3.1661 -1.3830 4.0685
Pd 1.2972 0.5779 2.6903
Pd 4.3810 2.5059 1.2856
Pd 0.6370 5.1861 0.0925
Pd -0.5779 1.2972 5.2616
Pd 1.3830 3.1661 3.8835
```

The 12 most intense peaks (10° ≤ 2θ ≤ 80°), by angle:
d = 3.197 Å, I 36; d = 3.127 Å, I 100; d = 2.748 Å, I 20; d = 2.503 Å, I 63; d = 2.416 Å, I 58; d = 2.405 Å, I 74; d = 2.091 Å, I 80; d = 2.058 Å, I 58; d = 2.039 Å, I 49; d = 1.564 Å, I 33; d = 1.494 Å, I 33; d = 1.292 Å, I 20



Starting from a structure optimized by DFT (GGA-PBE), the powder diffraction line list of Li5Mg2Pd2 was computed for Cu Kα (λ = 1.5418 Å).
Neutral-atom scattering factors, no anomalous dispersion.

Crystal structure
```
18
Lattice="-2.2094 6.3291 5.4887 2.2094 -6.3291 5.4887 2.2094 6.3291 -5.4887" Properties=species:S:1:pos:R:3 pbc="T T T"
Li 2.2094 -1.8441 2.1704
Li 2.2094 4.4850 -2.1704
Li 0.0000 0.5614 1.8274
Li 2.2094 0.5614 3.6613
Li 0.0000 3.1646 1.9589
Li 2.2094 3.1646 3.5298
Li 0.0000 5.7677 1.8274
Li 2.2094 5.7677 3.6613
Li 0.0000 1.8441 7.6591
Li 0.0000 8.1732 3.3183
Mg 2.2094 0.0000 0.0000
Mg 2.2094 3.1646 0.3465
Mg 0.0000 0.0000 5.4887
Mg 0.0000 3.1646 5.1422
Pd 2.2094 -4.5833 4.9291
Pd 2.2094 -1.7458 4.9291
Pd 0.0000 8.0749 0.5596
Pd 0.0000 10.9124 0.5596
```

The 12 most intense peaks (10° ≤ 2θ ≤ 80°), by angle:
d = 8.293 Å, I 26; d = 5.489 Å, I 100; d = 4.099 Å, I 58; d = 3.515 Å, I 22; d = 3.321 Å, I 26; d = 2.505 Å, I 72; d = 2.293 Å, I 36; d = 2.209 Å, I 19; d = 2.105 Å, I 25; d = 2.050 Å, I 15; d = 2.040 Å, I 16; d = 1.326 Å, I 16



Starting from a structure optimized by DFT (GGA-PBE), the powder diffraction line list of Li6MgPd12 was computed for Cu Kα (λ = 1.5418 Å).
Neutral-atom scattering factors, no anomalous dispersion.

Crystal structure
```
19
Lattice="6.0057 3.4674 2.2447 -6.0057 3.4674 2.2447 0.0000 -6.9348 2.2447" Properties=species:S:1:pos:R:3 pbc="T T T"
Li -1.8397 -2.4953 2.2067
Li -1.2412 2.8409 2.2067
Li -3.0809 0.3455 4.5273
Li 3.0809 -0.3455 2.2067
Li 1.2412 -2.8409 4.5273
Li 1.8397 2.4954 4.5273
Mg 0.0000 0.0000 0.0000
Pd -3.8034 1.7645 2.2538
Pd 0.3736 -4.1761 2.2538
Pd -1.6135 0.1944 2.2522
Pd -3.4299 -2.4116 4.4802
Pd 0.6384 -1.4946 2.2522
Pd 0.9751 1.3001 2.2522
Pd -0.9752 -1.3001 4.4817
Pd -0.6384 1.4946 4.4818
Pd 3.4298 2.4116 2.2538
Pd 1.6135 -0.1944 4.4818
Pd -0.3736 4.1761 4.4802
Pd 3.8034 -1.7645 4.4802
```

The 12 most intense peaks (10° ≤ 2θ ≤ 80°), by angle:
d = 6.006 Å, I 9; d = 4.116 Å, I 24; d = 3.467 Å, I 16; d = 3.395 Å, I 20; d = 2.826 Å, I 10; d = 2.557 Å, I 9; d = 2.270 Å, I 5; d = 2.248 Å, I 100; d = 1.947 Å, I 48; d = 1.884 Å, I 6; d = 1.378 Å, I 15; d = 1.376 Å, I 15



Starting from a structure optimized by DFT (GGA-PBE), the powder diffraction line list of Li4Mg9Pd11 was computed for Cu Kα (λ = 1.5418 Å).
Neutral-atom scattering factors, no anomalous dispersion.

Crystal structure
```
24
Lattice="7.0388 -9.0325 0.0000 7.0388 9.0325 0.0000 0.0000 0.0000 2.9888" Properties=species:S:1:pos:R:3 pbc="T T T"
Li 2.2595 1.5421 0.0000
Li 2.2595 -1.5421 0.0000
Li 11.8181 1.5421 0.0000
Li 11.8181 -1.5421 0.0000
Mg 0.0000 0.0000 0.0000
Mg 5.3927 4.8232 0.0000
Mg 5.3859 1.5888 0.0000
Mg 8.6849 4.8232 0.0000
Mg 5.3859 -1.5888 0.0000
Mg 8.6917 1.5888 0.0000
Mg 5.3927 -4.8232 0.0000
Mg 8.6917 -1.5888 0.0000
Mg 8.6849 -4.8232 0.0000
Pd 3.7502 3.1283 1.4944
Pd 7.0388 6.6320 1.4944
Pd 3.7788 0.0000 1.4944
Pd 7.0388 3.2001 1.4944
Pd 3.7502 -3.1283 1.4944
Pd 7.0388 0.0000 1.4944
Pd 10.3274 3.1283 1.4944
Pd 7.0388 -3.2001 1.4944
Pd 10.2988 0.0000 1.4944
Pd 7.0388 -6.6320 1.4944
Pd 10.3274 -3.1283 1.4944
```

The 12 most intense peaks (10° ≤ 2θ ≤ 80°), by angle:
d = 3.519 Å, I 62; d = 3.500 Å, I 13; d = 3.011 Å, I 32; d = 2.989 Å, I 40; d = 2.288 Å, I 58; d = 2.277 Å, I 100; d = 2.221 Å, I 22; d = 2.121 Å, I 48; d = 1.817 Å, I 23; d = 1.354 Å, I 13; d = 1.282 Å, I 13; d = 1.251 Å, I 16



Number 2 is which compound?
Li3Mg6Pd



What did the fourth record say?
Starting from a structure optimized by DFT (GGA-PBE), the powder diffraction line list of Li3Mg2Pd2 was computed for Cu Kα (λ = 1.5418 Å).
Neutral-atom scattering factors, no anomalous dispersion.

Crystal structure
```
7
Lattice="2.8690 0.0000 0.0000 0.0000 4.7529 0.0000 0.0000 0.0000 8.6272" Properties=species:S:1:pos:R:3 pbc="T T T"
Li 0.0000 0.0000 0.0000
Li 0.0000 1.1306 4.3136
Li 0.0000 3.6223 4.3136
Mg 0.0000 2.3765 1.7230
Mg 0.0000 2.3765 6.9042
Pd 1.4345 0.0000 2.2775
Pd 1.4345 0.0000 6.3497
```

The 12 most intense peaks (10° ≤ 2θ ≤ 80°), by angle:
d = 4.753 Å, I 64; d = 4.314 Å, I 100; d = 3.194 Å, I 45; d = 2.457 Å, I 62; d = 2.389 Å, I 25; d = 2.376 Å, I 25; d = 2.157 Å, I 15; d = 2.134 Å, I 71; d = 2.081 Å, I 32; d = 1.964 Å, I 15; d = 1.621 Å, I 24; d = 1.320 Å, I 14